# 1
Computed powder diffractogram of SrCaZrNbO6 for Cu Ka, from a DFT-relaxed cell (GGA-PBE, Alexandria).
Lines closer than 0.1° are merged.

Structural model:
```
SrCaZrNbO6
1.0
0.000 4.124 4.124
4.124 0.000 4.124
4.124 4.124 0.000
Sr Ca Zr Nb O
1 1 1 1 6
direct
0.000 0.000 0.000
0.500 0.500 0.500
0.750 0.750 0.750
0.250 0.250 0.250
0.004 0.004 0.496
0.004 0.496 0.004
0.004 0.496 0.496
0.496 0.004 0.004
0.496 0.004 0.496
0.496 0.496 0.004
```

Principal peaks in the range 15 to 90 degrees two-theta, by angle:
| two_theta | I (rel.) |
| --- | --- |
| 18.63 | 55 |
| 21.55 | 136 |
| 30.66 | 1000 |
| 43.90 | 379 |
| 49.41 | 49 |
| 54.50 | 390 |
| 63.83 | 223 |
| 72.47 | 167 |
| 80.71 | 72 |
| 88.75 | 202 |


# 2
Computed powder diffractogram of Sm4TeP2 for Cu Ka, from a DFT-relaxed cell (GGA-PBE, Alexandria).
Lines closer than 0.1° are merged.

Structural model:
```
Sm4TeP2
1.0
2.056 1.187 13.765
-2.056 1.187 13.765
0.000 -2.374 13.765
Sm Te P
4 1 2
direct
0.128 0.128 0.128
0.282 0.282 0.282
0.718 0.718 0.718
0.872 0.872 0.872
0.000 0.000 0.000
0.422 0.422 0.422
0.578 0.578 0.578
```

Principal peaks in the range 15 to 90 degrees two-theta, by angle:
| two_theta | I (rel.) |
| --- | --- |
| 25.10 | 134 |
| 25.89 | 102 |
| 27.27 | 178 |
| 29.30 | 1000 |
| 30.50 | 229 |
| 39.68 | 240 |
| 44.05 | 394 |
| 51.80 | 96 |
| 53.78 | 180 |
| 71.97 | 150 |


# 3
Computed powder diffractogram of Pm4Y3Ho4 for Cu Ka, from a DFT-relaxed cell (GGA-PBE, Alexandria).
Lines closer than 0.1° are merged.

Structural model:
```
Pm4Y3Ho4
1.0
3.596 0.000 0.000
0.000 5.606 0.000
-1.770 -2.799 17.993
Pm Y Ho
4 3 4
direct
0.055 0.053 0.104
0.179 0.677 0.354
0.821 0.323 0.646
0.945 0.947 0.896
0.352 0.854 0.709
0.500 0.500 0.000
0.648 0.146 0.291
0.235 0.235 0.470
0.405 0.407 0.816
0.595 0.593 0.184
0.765 0.765 0.530
```

Principal peaks in the range 15 to 90 degrees two-theta, by angle:
| two_theta | I (rel.) |
| --- | --- |
| 27.73 | 264 |
| 29.51 | 196 |
| 31.18 | 253 |
| 31.67 | 1000 |
| 31.93 | 584 |
| 33.15 | 929 |
| 50.00 | 219 |
| 57.68 | 191 |
| 60.56 | 246 |
| 61.09 | 304 |


# 4
Computed powder diffractogram of AcPrSm2 for Cu Ka, from a DFT-relaxed cell (GGA-PBE, Alexandria).
Lines closer than 0.1° are merged.

Structural model:
```
AcPrSm2
1.0
5.299 0.000 0.000
0.000 5.299 0.000
0.000 0.000 5.243
Ac Pr Sm
1 1 2
direct
0.000 0.000 0.000
0.500 0.500 0.000
0.000 0.500 0.500
0.500 0.000 0.500
```

Principal peaks in the range 15 to 90 degrees two-theta, by angle:
| two_theta | I (rel.) |
| --- | --- |
| 29.30 | 1000 |
| 33.83 | 343 |
| 34.20 | 167 |
| 48.60 | 125 |
| 48.87 | 246 |
| 57.76 | 300 |
| 58.25 | 146 |
| 60.76 | 129 |
| 78.77 | 61 |
| 79.19 | 121 |